Entry 1:
For NdMg2Ga6, a crystal structure in Alexandria, relaxed with GGA-PBE gives the calculated X-ray powder pattern in this record (λ = 1.5418 Å (Cu Kα)).
Lines closer than 0.1° are merged.

Most intense lines, 5° ≤ 2θ ≤ 70°, sorted by position:
(0 1 1), 2θ = 14.2°, intensity 19.5
(1 1 2), 2θ = 28.6°, intensity 100.0
(1 0 3), 2θ = 30.4°, intensity 17.9
(1 2 1), 2θ = 33.7°, intensity 64.3
(1 1 4), 2θ = 38.2°, intensity 37.1
(2 0 0), 2θ = 43.5°, intensity 32.4
(0 3 3), 2θ = 43.6°, intensity 52.5
(1 2 5), 2θ = 49.6°, intensity 27.5
(2 3 3), 2θ = 63.2°, intensity 36.2
(0 3 7), 2θ = 65.3°, intensity 15.8

Structure:
Cell: 4.165 7.194 12.454 Å, 90.00 90.00 90.00°
Space group Immm (No. 71)
Unique sites:
Nd: 0.000 0.000 0.000
Mg: 0.000 0.500 0.117
Ga: 0.000 0.178 0.500
Ga: 0.000 0.311 0.308

=====

Entry 2:
For ZnCuBr4, a crystal structure in Alexandria, relaxed with GGA-PBE gives the calculated X-ray powder pattern in this record (λ = 1.5418 Å (Cu Kα)).
Lines closer than 0.1° are merged.

Most intense lines, 5° ≤ 2θ ≤ 70°, sorted by position:
(1 0 0), 2θ = 12.4°, intensity 18.8
(1 0 1), 2θ = 15.8°, intensity 17.5
(0 0 2), 2θ = 19.4°, intensity 100.0
(2 0 0), 2θ = 25.0°, intensity 17.0
(2 0 2), 2θ = 31.9°, intensity 17.8
(2 2 0), 2θ = 35.7°, intensity 41.4
(0 0 4), 2θ = 39.5°, intensity 15.8
(2 2 2), 2θ = 40.9°, intensity 58.0
(2 2 4), 2θ = 54.2°, intensity 23.8
(4 0 2), 2θ = 55.4°, intensity 23.6

Structure:
Cell: 7.122 7.122 9.131 Å, 90.00 90.00 90.00°
Space group P4_2/mmc (No. 131)
Unique sites:
Zn: 0.000 0.500 0.000
Cu: 0.000 0.000 0.000
Br: 0.238 0.244 0.000

=====

Entry 3:
For Dy6TmHg5, a crystal structure in Alexandria, relaxed with GGA-PBE gives the calculated X-ray powder pattern in this record (λ = 1.5418 Å (Cu Kα)).
Lines closer than 0.1° are merged.

Most intense lines, 5° ≤ 2θ ≤ 70°, sorted by position:
(0 1 5), 2θ = 30.4°, intensity 2.8
(1 2 3), 2θ = 33.4°, intensity 100.0
(0 0 6), 2θ = 33.9°, intensity 21.8
(2 0 0), 2θ = 34.9°, intensity 23.9
(0 4 0), 2θ = 46.5°, intensity 10.0
(2 0 6), 2θ = 49.5°, intensity 15.2
(0 4 6), 2θ = 58.7°, intensity 8.6
(2 4 0), 2θ = 59.4°, intensity 9.8
(1 2 9), 2θ = 60.3°, intensity 13.6
(3 2 3), 2θ = 61.7°, intensity 17.4

Structure:
Cell: 5.136 7.819 15.873 Å, 90.00 90.00 90.00°
Space group Immm (No. 71)
Unique sites:
Dy: 0.000 0.224 0.000
Dy: 0.000 0.254 0.328
Tm: 0.000 0.000 0.500
Hg: 0.000 0.000 0.172
Hg: 0.000 0.500 0.144
Hg: 0.000 0.500 0.500

=====

Entry 4:
For FeIr2, a crystal structure in Alexandria, relaxed with GGA-PBE gives the calculated X-ray powder pattern in this record (λ = 1.5418 Å (Cu Kα)).
Lines closer than 0.1° are merged.

Most intense lines, 5° ≤ 2θ ≤ 70°, sorted by position:
(0 0 2), 2θ = 16.0°, intensity 15.6
(0 0 4), 2θ = 32.3°, intensity 7.3
(1 0 1), 2θ = 34.0°, intensity 17.4
(1 0 3), 2θ = 41.3°, intensity 100.0
(1 1 0), 2θ = 47.4°, intensity 33.9
(0 0 6), 2θ = 49.3°, intensity 14.7
(1 1 2), 2θ = 50.3°, intensity 3.7
(1 1 4), 2θ = 58.5°, intensity 5.8
(1 0 7), 2θ = 68.6°, intensity 4.9
(2 0 0), 2θ = 69.3°, intensity 10.9

Structure:
Cell: 2.713 2.713 11.099 Å, 90.00 90.00 90.00°
Space group I4/mmm (No. 139)
Unique sites:
Fe: 0.000 0.000 0.000
Ir: 0.000 0.000 0.338

=====

Entry 5:
For CsZrInCl6, a crystal structure in Alexandria, relaxed with GGA-PBE gives the calculated X-ray powder pattern in this record (λ = 1.5418 Å (Cu Kα)).
Lines closer than 0.1° are merged.

Most intense lines, 5° ≤ 2θ ≤ 70°, sorted by position:
(0 0 2), 2θ = 12.7°, intensity 13.5
(1 0 2), 2θ = 18.5°, intensity 100.0
(1 1 0), 2θ = 23.2°, intensity 30.7
(1 1 2), 2θ = 26.5°, intensity 19.4
(2 0 2), 2θ = 29.8°, intensity 25.4
(1 1 4), 2θ = 34.8°, intensity 59.6
(2 1 2), 2θ = 38.1°, intensity 29.9
(3 0 0), 2θ = 40.7°, intensity 21.9
(4 -1 2), 2θ = 51.2°, intensity 13.5
(4 -2 4), 2θ = 54.6°, intensity 14.4

Structure:
Cell: 7.6818 7.6818 13.9036 Å, 90.00 90.00 120.00°
Space group P-31c (No. 163)
Unique sites:
Cs: 0.0000 0.0000 0.0000
Zr: 0.3333 0.6667 0.2500
In: 0.3333 0.6667 0.7500
Cl: 0.0634 0.4051 0.1464

=====

Entry 6:
For NaSmCd2O4, a crystal structure in Alexandria, relaxed with GGA-PBE gives the calculated X-ray powder pattern in this record (λ = 1.5418 Å (Cu Kα)).
Lines closer than 0.1° are merged.

Most intense lines, 5° ≤ 2θ ≤ 70°, sorted by position:
(1 0 1), 2θ = 20.7°, intensity 42.8
(1 1 2), 2θ = 32.2°, intensity 100.0
(0 0 4), 2θ = 36.7°, intensity 34.1
(2 0 0), 2θ = 37.6°, intensity 63.6
(2 1 1), 2θ = 43.3°, intensity 12.6
(2 0 4), 2θ = 53.6°, intensity 42.9
(2 2 0), 2θ = 54.3°, intensity 20.6
(1 1 6), 2θ = 63.2°, intensity 15.0
(3 1 2), 2θ = 64.5°, intensity 32.4
(2 2 4), 2θ = 67.3°, intensity 20.5

Structure:
Cell: 4.779 4.779 9.798 Å, 90.00 90.00 90.00°
Space group I4/mmm (No. 139)
Unique sites:
Na: 0.000 0.000 0.000
Sm: 0.000 0.000 0.500
Cd: 0.000 0.500 0.250
O: 0.000 0.000 0.259
O: 0.000 0.500 0.000

=====

Entry 7:
For BeSiTc3, a crystal structure in Alexandria, relaxed with GGA-PBE gives the calculated X-ray powder pattern in this record (λ = 1.5418 Å (Cu Kα)).
Lines closer than 0.1° are merged.

Most intense lines, 5° ≤ 2θ ≤ 70°, sorted by position:
(1 0 0), 2θ = 21.6°, intensity 19.0
(1 1 0), 2θ = 30.8°, intensity 10.8
(1 1 1), 2θ = 37.9°, intensity 100.0
(2 0 0), 2θ = 44.1°, intensity 52.1
(2 1 0), 2θ = 49.6°, intensity 8.0
(2 1 1), 2θ = 54.7°, intensity 4.3
(2 2 0), 2θ = 64.1°, intensity 33.3
(3 0 0), 2θ = 68.5°, intensity 3.7

Structure:
Cell: 4.109 4.109 4.109 Å, 90.00 90.00 90.00°
Space group Pm-3m (No. 221)
Unique sites:
Be: 0.000 0.000 0.000
Si: 0.500 0.500 0.500
Tc: 0.000 0.000 0.500

=====

Entry 8:
For Ca3Ti8S16, a crystal structure in Alexandria, relaxed with GGA-PBE gives the calculated X-ray powder pattern in this record (λ = 1.5418 Å (Cu Kα)).
Lines closer than 0.1° are merged.

Most intense lines, 5° ≤ 2θ ≤ 70°, sorted by position:
(0 0 2), 2θ = 13.0°, intensity 100.0
(2 2 -2), 2θ = 32.3°, intensity 55.5
(4 0 2), 2θ = 33.0°, intensity 27.5
(2 2 -4), 2θ = 39.7°, intensity 67.3
(2 2 4), 2θ = 40.1°, intensity 21.1
(4 0 4), 2θ = 40.6°, intensity 29.5
(2 2 6), 2θ = 50.5°, intensity 19.9
(0 4 0), 2θ = 52.3°, intensity 16.1
(6 2 0), 2θ = 53.0°, intensity 30.2
(8 0 -4), 2θ = 68.2°, intensity 17.0

Structure:
Cell: 11.921 6.995 13.633 Å, 90.00 91.05 90.00°
Space group C2/m (No. 12)
Unique sites:
Ca: 0.000 0.000 0.000
Ca: 0.250 0.250 0.500
Ti: 0.004 0.000 0.746
Ti: 0.006 0.500 0.750
Ti: 0.245 0.255 0.753
S: 0.080 0.250 0.149
S: 0.081 0.251 0.641
S: 0.168 0.500 0.857
S: 0.169 0.000 0.856
S: 0.170 0.000 0.357
S: 0.170 0.500 0.355

=====

Entry 9:
For Cd5Pd3, a crystal structure in Alexandria, relaxed with GGA-PBE gives the calculated X-ray powder pattern in this record (λ = 1.5418 Å (Cu Kα)).
Lines closer than 0.1° are merged.

Most intense lines, 5° ≤ 2θ ≤ 70°, sorted by position:
(3 1 0), 2θ = 35.4°, intensity 1.9
(2 2 1), 2θ = 37.2°, intensity 100.0
(1 3 1), 2θ = 39.8°, intensity 2.2
(3 1 1), 2θ = 41.1°, intensity 2.1
(0 0 2), 2θ = 41.4°, intensity 19.6
(0 4 0), 2θ = 42.9°, intensity 16.2
(4 0 0), 2θ = 45.4°, intensity 12.9
(0 4 2), 2θ = 61.1°, intensity 10.9
(4 0 2), 2θ = 63.1°, intensity 9.3
(4 4 0), 2θ = 64.2°, intensity 8.0

Structure:
Cell: 7.982 8.440 4.366 Å, 90.00 90.00 90.00°
Space group Cmmm (No. 65)
Unique sites:
Cd: 0.000 0.000 0.000
Cd: 0.220 0.500 0.500
Cd: 0.250 0.250 0.000
Pd: 0.000 0.226 0.500
Pd: 0.000 0.500 0.000

=====

Entry 10:
For Tm4ScAg3, a crystal structure in Alexandria, relaxed with GGA-PBE gives the calculated X-ray powder pattern in this record (λ = 1.5418 Å (Cu Kα)).
Lines closer than 0.1° are merged.

Most intense lines, 5° ≤ 2θ ≤ 70°, sorted by position:
(0 1 2), 2θ = 24.4°, intensity 7.2
(1 0 0), 2θ = 24.7°, intensity 3.6
(0 0 4), 2θ = 34.6°, intensity 20.1
(0 2 0), 2θ = 35.0°, intensity 100.0
(0 2 4), 2θ = 50.0°, intensity 14.0
(2 0 0), 2θ = 50.7°, intensity 7.1
(1 1 6), 2θ = 62.2°, intensity 13.7
(1 3 2), 2θ = 62.7°, intensity 14.3
(2 0 4), 2θ = 62.8°, intensity 6.9
(2 2 0), 2θ = 63.1°, intensity 7.2

Structure:
Cell: 3.601 5.134 10.382 Å, 90.00 90.00 90.00°
Space group Pmmm (No. 47)
Unique sites:
Tm: 0.000 0.000 0.000
Tm: 0.000 0.000 0.500
Tm: 0.000 0.500 0.239
Sc: 0.500 0.500 0.500
Ag: 0.500 0.000 0.259
Ag: 0.500 0.500 0.000

=====

Entry 11:
For SrMg22Ag6, a crystal structure in Alexandria, relaxed with GGA-PBE gives the calculated X-ray powder pattern in this record (λ = 1.5418 Å (Cu Kα)).
Lines closer than 0.1° are merged.

Most intense lines, 5° ≤ 2θ ≤ 70°, sorted by position:
(2 0 0), 2θ = 12.7°, intensity 50.9
(2 2 0), 2θ = 18.0°, intensity 18.2
(2 2 2), 2θ = 22.1°, intensity 75.2
(4 0 0), 2θ = 25.6°, intensity 60.0
(3 3 3), 2θ = 33.4°, intensity 41.9
(4 4 0), 2θ = 36.5°, intensity 100.0
(6 0 0), 2θ = 38.8°, intensity 31.2
(6 2 2), 2θ = 43.0°, intensity 65.3
(6 6 2), 2θ = 57.7°, intensity 20.0
(8 4 4), 2θ = 65.6°, intensity 36.3

Structure:
Cell: 13.939 13.939 13.939 Å, 90.00 90.00 90.00°
Space group Fm-3m (No. 225)
Unique sites:
Sr: 0.000 0.000 0.000
Mg: 0.000 0.176 0.176
Mg: 0.118 0.118 0.382
Mg: 0.250 0.250 0.250
Ag: 0.000 0.000 0.264

=====

Entry 12:
For BC5, a crystal structure in Alexandria, relaxed with GGA-PBE gives the calculated X-ray powder pattern in this record (λ = 1.5418 Å (Cu Kα)).
Lines closer than 0.1° are merged.

Most intense lines, 5° ≤ 2θ ≤ 70°, sorted by position:
(0 1 0), 2θ = 11.4°, intensity 15.0
(0 2 0), 2θ = 22.9°, intensity 0.8
(0 1 1), 2θ = 26.8°, intensity 1.7
(0 2 1), 2θ = 33.6°, intensity 1.7
(0 3 1), 2θ = 42.7°, intensity 98.2
(1 0 1), 2θ = 43.4°, intensity 100.0
(0 4 1), 2θ = 53.4°, intensity 1.2

Structure:
Cell: 2.532 7.761 3.679 Å, 90.00 90.00 90.00°
Space group Pmn2_1 (No. 31)
Unique sites:
B: 0.000 0.085 0.000
C: 0.000 0.260 0.251
C: 0.000 0.419 0.995
C: 0.000 0.581 0.251
C: 0.000 0.744 0.992
C: 0.000 0.907 0.218